Computed X-ray diffraction stick pattern of HfZrV for Cu Kα (λ = 1.5418 Å), from a DFT-relaxed cell (PBE, Alexandria).

Principal peaks in the range 2θ from 15° to 90°, most intense first:
- 39.20°, rel. 100
- 36.93°, rel. 85
- 32.86°, rel. 67
- 58.13°, rel. 36
- 38.68°, rel. 33
- 72.02°, rel. 31
- 33.71°, rel. 30
- 25.51°, rel. 30

```
data_HfZrV
_chemical_formula_sum 'Hf1 Zr1 V1'
_cell_length_a 7.2206
_cell_length_b 7.2206
_cell_length_c 7.2206
_cell_angle_alpha 25.39
_cell_angle_beta 25.39
_cell_angle_gamma 25.39
_space_group_name_H-M_alt 'P 1'
_space_group_IT_number 1
loop_
_space_group_symop_operation_xyz
'x,y,z'
loop_
_atom_site_label
_atom_site_type_symbol
_atom_site_fract_x
_atom_site_fract_y
_atom_site_fract_z
Hf1 Hf 0.0000 0.0000 0.0000
Zr1 Zr 0.7948 0.7948 0.7948
V1 V 0.5650 0.5650 0.5650
```